(1)
Theoretical powder diffraction line list
Compound: Li2CeAsN
Radiation: Cu Ka
Structure: a DFT-relaxed cell (PBE, Alexandria)
Peak positions follow from Bragg's law for the DFT cell and can differ from measured ones.

Structural model:
```
data_Li2CeAsN
_symmetry_space_group_name_H-M 'C m c m'
_symmetry_Int_Tables_number 63
_symmetry_space_group_name_Hall '-C 2c 2'
_cell_length_a 3.482
_cell_length_b 11.914
_cell_length_c 7.301
_cell_angle_alpha 90.00
_cell_angle_beta 90.00
_cell_angle_gamma 90.00
loop_
_atom_site_label
_atom_site_type_symbol
_atom_site_fract_x
_atom_site_fract_y
_atom_site_fract_z
Li1 Li 0.000 0.163 0.050
Ce1 Ce 0.000 0.468 0.250
As1 As 0.000 0.257 0.750
N1 N 0.000 0.000 0.000
```

Most intense lines, 10° ≤ 2θ ≤ 90°, in order of falling intensity:
2θ/deg  Rel. int.  (hkl)
36.45  100  1 1 2
24.38  54  0 0 2
26.67  33  1 1 0
30.00  28  0 4 0
62.01  24  1 7 1
39.03  23  0 4 2
32.47  19  0 4 1
51.25  18  1 3 3
14.87  17  0 2 0
42.49  16  1 3 2


(2)
Theoretical powder diffraction line list
Compound: Li2CeAs2O
Radiation: Cu Ka
Structure: a DFT-relaxed cell (PBE, Alexandria)
Peak positions follow from Bragg's law for the DFT cell and can differ from measured ones.

Structural model:
```
data_Li2CeAs2O
_symmetry_space_group_name_H-M 'P 4/m m m'
_symmetry_Int_Tables_number 123
_symmetry_space_group_name_Hall '-P 4 2'
_cell_length_a 4.110
_cell_length_b 4.110
_cell_length_c 5.576
_cell_angle_alpha 90.00
_cell_angle_beta 90.00
_cell_angle_gamma 90.00
loop_
_atom_site_label
_atom_site_type_symbol
_atom_site_fract_x
_atom_site_fract_y
_atom_site_fract_z
Li1 Li 0.000 0.500 0.000
Ce1 Ce 0.000 0.000 0.500
As1 As 0.500 0.500 0.291
O1 O 0.000 0.000 0.000
```

Most intense lines, 10° ≤ 2θ ≤ 90°, in order of falling intensity:
2θ/deg  Rel. int.  (hkl)
30.77  100  1 1 0
39.04  97  1 0 2
15.89  60  0 0 1
60.31  53  2 1 2
34.81  47  1 1 1
44.07  42  2 0 0
54.15  24  1 0 3
26.95  21  1 0 1
72.29  20  2 1 3
72.76  16  3 1 0


(3)
Theoretical powder diffraction line list
Compound: Li2CeAsO
Radiation: Cu Ka
Structure: a DFT-relaxed cell (PBE, Alexandria)
Peak positions follow from Bragg's law for the DFT cell and can differ from measured ones.

Structural model:
```
data_Li2CeAsO
_symmetry_space_group_name_H-M 'C m c m'
_symmetry_Int_Tables_number 63
_symmetry_space_group_name_Hall '-C 2c 2'
_cell_length_a 3.738
_cell_length_b 11.263
_cell_length_c 7.253
_cell_angle_alpha 90.00
_cell_angle_beta 90.00
_cell_angle_gamma 90.00
loop_
_atom_site_label
_atom_site_type_symbol
_atom_site_fract_x
_atom_site_fract_y
_atom_site_fract_z
Li1 Li 0.000 0.165 0.057
Ce1 Ce 0.000 0.459 0.250
As1 As 0.000 0.265 0.750
O1 O 0.000 0.000 0.000
```

Most intense lines, 10° ≤ 2θ ≤ 90°, in order of falling intensity:
2θ/deg  Rel. int.  (hkl)
36.10  100  1 3 1
35.39  94  1 1 2
24.55  84  0 0 2
25.10  61  1 1 0
34.16  45  0 4 1
51.15  36  1 3 3
31.78  29  0 4 0
40.57  26  0 4 2
60.81  26  0 4 4
64.33  25  1 7 1


(4)
Theoretical powder diffraction line list
Compound: Li2CeAsS4
Radiation: Cu Ka
Structure: a DFT-relaxed cell (PBE, Alexandria)
Peak positions follow from Bragg's law for the DFT cell and can differ from measured ones.

Structural model:
```
data_Li2CeAsS4
_symmetry_space_group_name_H-M 'I m m a'
_symmetry_Int_Tables_number 74
_symmetry_space_group_name_Hall '-I 2b 2'
_cell_length_a 7.603
_cell_length_b 7.918
_cell_length_c 10.800
_cell_angle_alpha 90.00
_cell_angle_beta 90.00
_cell_angle_gamma 90.00
loop_
_atom_site_label
_atom_site_type_symbol
_atom_site_fract_x
_atom_site_fract_y
_atom_site_fract_z
Li1 Li 0.000 0.000 0.000
Li2 Li 0.250 0.250 0.250
Ce1 Ce 0.000 0.000 0.500
As1 As 0.250 0.250 0.750
S1 S 0.000 0.017 0.758
S2 S 0.242 0.250 0.996
```

Most intense lines, 10° ≤ 2θ ≤ 90°, in order of falling intensity:
2θ/deg  Rel. int.  (hkl)
32.66  100  2 2 0
14.25  91  1 0 1
47.25  67  2 2 4
33.18  48  0 0 4
26.69  47  1 2 1
13.87  41  0 1 1
35.72  26  1 2 3
27.41  24  1 0 3
45.84  18  0 4 0
27.27  18  0 1 3


(5)
Theoretical powder diffraction line list
Compound: Ce4MgAs5
Radiation: Cu Ka
Structure: a DFT-relaxed cell (PBE, Alexandria)
Peak positions follow from Bragg's law for the DFT cell and can differ from measured ones.

Structural model:
```
data_Ce4MgAs5
_symmetry_space_group_name_H-M 'R -3 m'
_symmetry_Int_Tables_number 166
_symmetry_space_group_name_Hall '-R 3 2"'
_cell_length_a 4.2148
_cell_length_b 4.2148
_cell_length_c 49.7909
_cell_angle_alpha 90.00
_cell_angle_beta 90.00
_cell_angle_gamma 120.00
loop_
_atom_site_label
_atom_site_type_symbol
_atom_site_fract_x
_atom_site_fract_y
_atom_site_fract_z
Ce1 Ce 0.0000 0.0000 0.1046
Ce2 Ce 0.0000 0.0000 0.2988
Mg1 Mg 0.0000 0.0000 0.5000
As1 As 0.0000 0.0000 0.0000
As2 As 0.0000 0.0000 0.1969
As3 As 0.0000 0.0000 0.4028
```

Most intense lines, 10° ≤ 2θ ≤ 90°, in order of falling intensity:
2θ/deg  Rel. int.  (hkl)
30.36  100  1 0 10
42.92  40  1 1 0
44.03  32  0 1 20
53.47  20  0 2 10
70.88  17  2 1 10
72.49  12  1 1 30
79.41  11  1 2 20
63.17  11  2 0 20
78.63  7  3 0 0
39.45  6  0 1 17


(6)
Theoretical powder diffraction line list
Compound: CeMoAs2Rh5
Radiation: Cu Ka
Structure: a DFT-relaxed cell (PBE, Alexandria)
Peak positions follow from Bragg's law for the DFT cell and can differ from measured ones.

Structural model:
```
data_CeMoAs2Rh5
_symmetry_space_group_name_H-M 'P 4/m m m'
_symmetry_Int_Tables_number 123
_symmetry_space_group_name_Hall '-P 4 2'
_cell_length_a 3.981
_cell_length_b 3.981
_cell_length_c 10.918
_cell_angle_alpha 90.00
_cell_angle_beta 90.00
_cell_angle_gamma 90.00
loop_
_atom_site_label
_atom_site_type_symbol
_atom_site_fract_x
_atom_site_fract_y
_atom_site_fract_z
Ce1 Ce 0.000 0.000 0.000
Mo1 Mo 0.000 0.000 0.500
As1 As 0.500 0.500 0.221
Rh1 Rh 0.000 0.500 0.350
Rh2 Rh 0.500 0.500 0.000
```

Most intense lines, 10° ≤ 2θ ≤ 90°, in order of falling intensity:
2θ/deg  Rel. int.  (hkl)
46.33  100  1 1 4
32.85  75  1 1 1
45.57  68  2 0 0
27.73  48  1 0 2
24.46  48  0 0 3
35.89  34  1 1 2
84.81  34  3 1 4
40.51  25  1 1 3
52.39  23  2 0 3
66.42  22  2 2 0


(7)
Theoretical powder diffraction line list
Compound: Ce3As3N
Radiation: Cu Ka
Structure: a DFT-relaxed cell (PBE, Alexandria)
Peak positions follow from Bragg's law for the DFT cell and can differ from measured ones.

Structural model:
```
data_Ce3As3N
_symmetry_space_group_name_H-M 'C 1 2/m 1'
_symmetry_Int_Tables_number 12
_cell_length_a 7.895
_cell_length_b 11.893
_cell_length_c 7.252
_cell_angle_alpha 90.00
_cell_angle_beta 98.22
_cell_angle_gamma 90.00
loop_
_symmetry_equiv_pos_as_xyz
'x,y,z'
'-x,-y,-z'
'-x,y,-z'
'x,-y,z'
'x+1/2,y+1/2,z'
'-x+1/2,-y+1/2,-z'
'-x+1/2,y+1/2,-z'
'x+1/2,-y+1/2,z'
loop_
_atom_site_label
_atom_site_type_symbol
_atom_site_fract_x
_atom_site_fract_y
_atom_site_fract_z
Ce1 Ce 0.118 0.000 0.314
Ce2 Ce 0.209 0.341 0.229
As1 As 0.000 0.166 0.000
As2 As 0.000 0.250 0.500
As3 As 0.087 0.500 0.880
N1 N 0.165 0.000 0.643
```

Most intense lines, 10° ≤ 2θ ≤ 90°, in order of falling intensity:
2θ/deg  Rel. int.  (hkl)
28.86  100  1 3 1
34.87  33  2 2 -2
35.76  26  3 1 -1
36.33  25  2 0 2
27.39  18  1 3 -1
41.48  17  3 3 0
38.50  17  1 1 -3
36.82  14  1 3 2
17.23  13  1 1 -1
49.08  12  4 2 0


(8)
Theoretical powder diffraction line list
Compound: Ce5As2N2
Radiation: Cu Ka
Structure: a DFT-relaxed cell (PBE, Alexandria)
Peak positions follow from Bragg's law for the DFT cell and can differ from measured ones.

Structural model:
```
data_Ce5As2N2
_symmetry_space_group_name_H-M 'I m a 2'
_symmetry_Int_Tables_number 46
_cell_length_a 18.074
_cell_length_b 7.427
_cell_length_c 6.296
_cell_angle_alpha 90.00
_cell_angle_beta 90.00
_cell_angle_gamma 90.00
loop_
_symmetry_equiv_pos_as_xyz
'x,y,z'
'-x,-y,z'
'-x+1/2,y,z'
'x+1/2,-y,z'
'x+1/2,y+1/2,z+1/2'
'-x+1/2,-y+1/2,z+1/2'
'-x,y+1/2,z+1/2'
'x,-y+1/2,z+1/2'
loop_
_atom_site_label
_atom_site_type_symbol
_atom_site_fract_x
_atom_site_fract_y
_atom_site_fract_z
Ce1 Ce 0.021 0.249 0.000
Ce2 Ce 0.141 0.564 0.751
Ce3 Ce 0.250 0.123 0.709
As1 As 0.104 0.548 0.250
N1 N 0.000 0.000 0.252
N2 N 0.250 0.082 0.338
```

Most intense lines, 10° ≤ 2θ ≤ 90°, in order of falling intensity:
2θ/deg  Rel. int.  (hkl)
31.18  100  4 2 0
37.46  90  0 2 2
27.44  76  5 1 0
28.34  73  0 0 2
34.73  69  4 0 2
30.06  66  2 0 2
35.17  66  6 1 1
34.34  48  3 1 2
53.48  46  5 3 2
25.94  44  2 2 0


(9)
Theoretical powder diffraction line list
Compound: Ce2As2N
Radiation: Cu Ka
Structure: a DFT-relaxed cell (PBE, Alexandria)
Peak positions follow from Bragg's law for the DFT cell and can differ from measured ones.

Structural model:
```
data_Ce2As2N
_symmetry_space_group_name_H-M 'C m c 21'
_symmetry_Int_Tables_number 36
_cell_length_a 4.126
_cell_length_b 14.930
_cell_length_c 7.246
_cell_angle_alpha 90.00
_cell_angle_beta 90.00
_cell_angle_gamma 90.00
loop_
_symmetry_equiv_pos_as_xyz
'x,y,z'
'-x,-y,z+1/2'
'-x,y,z'
'x,-y,z+1/2'
'x+1/2,y+1/2,z'
'-x+1/2,-y+1/2,z+1/2'
'-x+1/2,y+1/2,z'
'x+1/2,-y+1/2,z+1/2'
loop_
_atom_site_label
_atom_site_type_symbol
_atom_site_fract_x
_atom_site_fract_y
_atom_site_fract_z
Ce1 Ce 0.000 0.038 0.000
Ce2 Ce 0.000 0.337 0.849
As1 As 0.000 0.313 0.440
As2 As 0.000 0.436 0.204
N1 N 0.000 0.097 0.310
```

Most intense lines, 10° ≤ 2θ ≤ 90°, in order of falling intensity:
2θ/deg  Rel. int.  (hkl)
28.09  100  1 3 0
39.23  70  0 2 3
37.66  64  1 3 2
33.46  58  1 1 2
43.87  48  2 0 0
30.73  46  1 3 1
26.87  33  0 4 1
24.57  25  0 0 2
27.36  24  0 2 2
38.24  23  0 6 1


(10)
Theoretical powder diffraction line list
Compound: CeNi2As2N
Radiation: Cu Ka
Structure: a DFT-relaxed cell (PBE, Alexandria)
Peak positions follow from Bragg's law for the DFT cell and can differ from measured ones.

Structural model:
```
data_CeNi2As2N
_symmetry_space_group_name_H-M 'I 4/m m m'
_symmetry_Int_Tables_number 139
_symmetry_space_group_name_Hall '-I 4 2'
_cell_length_a 3.797
_cell_length_b 3.797
_cell_length_c 13.306
_cell_angle_alpha 90.00
_cell_angle_beta 90.00
_cell_angle_gamma 90.00
loop_
_atom_site_label
_atom_site_type_symbol
_atom_site_fract_x
_atom_site_fract_y
_atom_site_fract_z
Ce1 Ce 0.000 0.000 0.000
Ni1 Ni 0.000 0.000 0.361
As1 As 0.000 0.500 0.250
N1 N 0.000 0.000 0.500
```

Most intense lines, 10° ≤ 2θ ≤ 90°, in order of falling intensity:
2θ/deg  Rel. int.  (hkl)
31.01  100  1 0 3
36.08  95  1 1 2
53.60  50  1 1 6
47.92  49  2 0 0
58.18  33  2 1 3
41.44  23  1 0 5
26.80  22  0 0 4
76.09  21  2 0 8
81.46  18  3 1 2
70.10  15  2 2 0


(11)
Theoretical powder diffraction line list
Compound: CeNiAsN
Radiation: Cu Ka
Structure: a DFT-relaxed cell (PBE, Alexandria)
Peak positions follow from Bragg's law for the DFT cell and can differ from measured ones.

Structural model:
```
data_CeNiAsN
_symmetry_space_group_name_H-M 'I 4 m m'
_symmetry_Int_Tables_number 107
_symmetry_space_group_name_Hall 'I 4 -2'
_cell_length_a 3.298
_cell_length_b 3.298
_cell_length_c 11.778
_cell_angle_alpha 90.00
_cell_angle_beta 90.00
_cell_angle_gamma 90.00
loop_
_atom_site_label
_atom_site_type_symbol
_atom_site_fract_x
_atom_site_fract_y
_atom_site_fract_z
Ce1 Ce 0.000 0.000 0.000
Ni1 Ni 0.000 0.000 0.299
As1 As 0.000 0.000 0.727
N1 N 0.000 0.000 0.460
```

Most intense lines, 10° ≤ 2θ ≤ 90°, in order of falling intensity:
2θ/deg  Rel. int.  (hkl)
35.55  100  1 0 3
38.60  73  1 1 0
30.36  44  0 0 4
49.88  43  1 1 4
28.09  35  1 0 1
61.91  31  1 0 7
67.88  30  2 1 3
55.74  24  2 0 0
88.06  23  2 1 7
64.79  19  2 0 4


(12)
Theoretical powder diffraction line list
Compound: CePa2As2N2
Radiation: Cu Ka
Structure: a DFT-relaxed cell (PBE, Alexandria)
Peak positions follow from Bragg's law for the DFT cell and can differ from measured ones.

Structural model:
```
data_CePa2As2N2
_symmetry_space_group_name_H-M 'C 1 2/m 1'
_symmetry_Int_Tables_number 12
_cell_length_a 12.328
_cell_length_b 3.912
_cell_length_c 7.029
_cell_angle_alpha 90.00
_cell_angle_beta 122.89
_cell_angle_gamma 90.00
loop_
_symmetry_equiv_pos_as_xyz
'x,y,z'
'-x,-y,-z'
'-x,y,-z'
'x,-y,z'
'x+1/2,y+1/2,z'
'-x+1/2,-y+1/2,-z'
'-x+1/2,y+1/2,-z'
'x+1/2,-y+1/2,z'
loop_
_atom_site_label
_atom_site_type_symbol
_atom_site_fract_x
_atom_site_fract_y
_atom_site_fract_z
Ce1 Ce 0.000 0.000 0.000
Pa1 Pa 0.192 0.000 0.744
As1 As 0.072 0.500 0.357
N1 N 0.214 0.000 0.087
```

Most intense lines, 10° ≤ 2θ ≤ 90°, in order of falling intensity:
2θ/deg  Rel. int.  (hkl)
31.13  100  1 1 1
29.20  67  4 0 -1
35.63  64  3 1 -2
49.83  29  5 1 0
55.79  28  4 2 -1
25.36  22  2 0 -2
46.42  21  0 2 0
34.66  18  3 1 0
39.16  18  2 0 -3
26.07  17  1 1 -1